Diffraction record for Tb3Pm6Y. The X-ray powder pattern is theoretical, not measured: it uses a structure optimized by DFT (GGA-PBE) and Cu Kα (weighted mean of Kα1 and Kα2).
Lines closer than 0.1° are merged.

The 10 most intense peaks (2θ = 15–90°), in order of falling intensity:
| index | two_theta | I_rel |
| --- | --- | --- |
| 0 6 1 | 31.11 | 1000 |
| 3 3 1 | 31.51 | 645 |
| 2 2 2 | 33.68 | 554 |
| 2 4 1 | 28.34 | 470 |
| 3 3 0 | 28.20 | 439 |
| 3 1 1 | 28.59 | 432 |
| 1 1 2 | 29.33 | 347 |
| 3 5 0 | 33.89 | 257 |
| 6 6 1 | 60.24 | 222 |
| 3 9 0 | 49.37 | 201 |

Structure:
```
data_Tb3Pm6Y
_cell_length_a 10.905
_cell_length_b 19.287
_cell_length_c 6.427
_cell_angle_alpha 90.00
_cell_angle_beta 90.00
_cell_angle_gamma 90.00
_symmetry_space_group_name_H-M 'C m c 21'
_symmetry_Int_Tables_number 36
loop_
_symmetry_equiv_pos_as_xyz
'x,y,z'
'-x,-y,z+1/2'
'-x,y,z'
'x,-y,z+1/2'
'x+1/2,y+1/2,z'
'-x+1/2,-y+1/2,z+1/2'
'-x+1/2,y+1/2,z'
'x+1/2,-y+1/2,z+1/2'
loop_
_atom_site_label
_atom_site_type_symbol
_atom_site_fract_x
_atom_site_fract_y
_atom_site_fract_z
_atom_site_occupancy
Tb1 Tb 0.000 0.114 0.000 1
Tb2 Tb 0.171 0.385 0.387 1
Pm1 Pm 0.000 0.220 0.569 1
Pm2 Pm 0.000 0.468 0.787 1
Pm3 Pm 0.171 0.043 0.467 1
Pm4 Pm 0.230 0.211 0.275 1
Y1 Y 0.000 0.310 0.022 1
```